Structure and simulated X-ray powder pattern of V2ZnP2O10 (a cell relaxed with GGA+U; Cu Kα (λ = 1.5418 Å)).
Neutral-atom scattering factors, no anomalous dispersion.

Cell and atoms:
```
data_V2ZnP2O10
_cell_length_a 11.2100
_cell_length_b 16.3714
_cell_length_c 7.1952
_cell_angle_alpha 90.00
_cell_angle_beta 90.00
_cell_angle_gamma 90.00
_symmetry_space_group_name_H-M 'F d d 2'
_symmetry_Int_Tables_number 43
_symmetry_space_group_name_Hall 'F 2 -2d'
loop_
_atom_site_label
_atom_site_type_symbol
_atom_site_fract_x
_atom_site_fract_y
_atom_site_fract_z
V1 V 0.1165 0.3800 0.0000
Zn1 Zn 0.0000 0.0000 0.1148
P1 P 0.0009 0.2091 0.1195
O1 O 0.0031 0.0820 0.6215
O2 O 0.0121 0.3493 0.7848
O3 O 0.0146 0.1560 0.9454
O4 O 0.1124 0.2350 0.5904
O5 O 0.1116 0.2665 0.1524
```

Top 6 peaks for 2θ from 10° to 90°, by angle:
| Position (°2θ) | Rel. int. | hkl |
| --- | --- | --- |
| 21.93 | 38 | 1 3 1 |
| 27.44 | 63 | 3 1 1 |
| 29.50 | 47 | 2 0 2 |
| 31.05 | 100 | 1 5 1 |
| 31.53 | 48 | 2 2 2 |
| 36.93 | 37 | 2 4 2 |